AcSnS4: simulated powder XRD pattern (Cu Kα X-rays), based on a crystal structure in Alexandria, relaxed with GGA-PBE.
Peak positions follow from Bragg's law for the DFT cell and can differ from measured ones.

Peak list (8 most intense, 2θ from 5° to 70°, sorted by position)
2θ (°)  intensity  (hkl)
22.73  19  0 0 2
23.64  100  1 1 1
32.69  20  2 0 0
34.67  28  0 2 2
40.17  20  2 0 2
40.47  33  1 1 3
44.25  28  1 3 1
53.14  15  3 1 1

Cell and atoms:
abc: 5.4830 6.8988 7.8232
angles: 90.00 90.00 90.00
Atoms (fractional coordinates):
Ac (0.0000, 0.0000, 0.0000)
Ac (0.5000, 0.0000, 0.5000)
Sn (0.0000, 0.5000, 0.5000)
Sn (0.5000, 0.5000, 0.0000)
S (0.0000, 0.1765, 0.3688)
S (0.0000, 0.8235, 0.6312)
S (0.2500, 0.3159, 0.7500)
S (0.2500, 0.6841, 0.2500)
S (0.5000, 0.1765, 0.1312)
S (0.5000, 0.8235, 0.8688)
S (0.7500, 0.3159, 0.7500)
S (0.7500, 0.6841, 0.2500)